Entry 1:
Structure and simulated powder XRD pattern of Na2Np2S5 (DFT lattice parameters and positions (GGA-PBE); λ = 1.5418 Å (Cu Kα)).

The 10 most intense peaks (2θ from 15° to 90°), in order of rising 2θ:
2θ/deg  I (rel.)
19.30  95
22.95  100
23.33  39
24.75  28
26.46  75
32.95  84
34.27  76
39.63  70
53.01  34
54.79  25

Crystal structure
Unit cell a=8.540 b=8.143 c=5.975 alpha=72.61 beta=65.50 gamma=41.89
Fractional positions:
Na: 0.199 0.199 0.801
Na: 0.801 0.801 0.199
Np: 0.271 0.729 0.271
Np: 0.729 0.271 0.729
S: 0.000 0.000 0.000
S: 0.126 0.126 0.374
S: 0.374 0.374 0.126
S: 0.626 0.626 0.874
S: 0.874 0.874 0.626

Entry 2:
Structure and simulated powder XRD pattern of ZnMoPb2 (DFT lattice parameters and positions (GGA-PBE); λ = 1.5418 Å (Cu Kα)).

The 10 most intense peaks (2θ from 15° to 90°), in order of rising 2θ:
2θ/deg  I (rel.)
19.95  34
27.80  68
30.12  45
30.93  53
32.91  83
35.63  67
39.43  100
40.13  36
50.40  45
66.59  35

Crystal structure
Unit cell a=3.057 b=3.440 c=8.902 alpha=90.00 beta=90.00 gamma=90.00
Fractional positions:
Zn: 0.000 0.000 0.000
Mo: 0.500 0.500 0.155
Pb: 0.000 0.000 0.392
Pb: 0.500 0.500 0.775